No. 1
Starting from a structure optimized by DFT (GGA-PBE), the X-ray diffraction stick pattern of Y2Tm2Te3 was simulated for Cu Ka.
Peak positions follow from Bragg's law for the DFT cell and can differ from measured ones.

Principal peaks in the range 2θ = 10–80°, sorted by position:
2θ = 22.41°, I = 12.9
2θ = 29.99°, I = 100.0
2θ = 30.40°, I = 41.8
2θ = 30.97°, I = 11.8
2θ = 34.74°, I = 22.7
2θ = 42.12°, I = 14.6
2θ = 43.10°, I = 27.6
2θ = 43.35°, I = 30.0
2θ = 43.70°, I = 19.7
2θ = 54.17°, I = 16.3
2θ = 62.32°, I = 9.9
2θ = 71.80°, I = 11.5

Crystal structure
abc: 14.1093 4.1424 7.3067
angles: 90.00 101.77 90.00
Fractional coordinates of all 14 atoms:
Y 0.1115 0.0000 0.3114
Y 0.3885 0.5000 0.6886
Y 0.6115 0.5000 0.3114
Y 0.8885 0.0000 0.6886
Tm 0.1112 0.5000 0.9016
Tm 0.3888 0.0000 0.0984
Tm 0.6112 0.0000 0.9016
Tm 0.8888 0.5000 0.0984
Te 0.0000 0.5000 0.5000
Te 0.2320 0.0000 0.7389
Te 0.2680 0.5000 0.2611
Te 0.5000 0.0000 0.5000
Te 0.7320 0.5000 0.7389
Te 0.7680 0.0000 0.2611

---

No. 2
Starting from a structure optimized by DFT (GGA-PBE), the X-ray diffraction stick pattern of SiSbSe4 was simulated for Cu Ka.
Peak positions follow from Bragg's law for the DFT cell and can differ from measured ones.

Principal peaks in the range 2θ = 10–80°, sorted by position:
2θ = 12.35°, I = 47.6
2θ = 13.54°, I = 34.2
2θ = 16.56°, I = 26.3
2θ = 17.47°, I = 43.4
2θ = 28.86°, I = 100.0
2θ = 30.53°, I = 60.7
2θ = 33.47°, I = 33.3
2θ = 35.36°, I = 33.0
2θ = 37.22°, I = 45.9
2θ = 37.59°, I = 30.1
2θ = 49.01°, I = 18.0
2θ = 54.28°, I = 24.5

Crystal structure
abc: 6.5404 7.1677 8.0553
angles: 90.00 90.00 90.00
Fractional coordinates of all 12 atoms:
Si 0.0000 0.0000 0.0000
Si 0.0000 0.5000 0.5000
Sb 0.0000 0.0000 0.5000
Sb 0.5000 0.0000 0.0000
Se 0.1997 0.3063 0.6584
Se 0.1997 0.6937 0.3416
Se 0.2111 0.1850 0.1657
Se 0.2111 0.8150 0.8343
Se 0.7889 0.1850 0.8343
Se 0.7889 0.8150 0.1657
Se 0.8003 0.3063 0.3416
Se 0.8003 0.6937 0.6584

---

No. 3
Starting from a structure optimized by DFT (GGA-PBE), the X-ray diffraction stick pattern of ZnCoH3 was simulated for Cu Ka.
Peak positions follow from Bragg's law for the DFT cell and can differ from measured ones.

Principal peaks in the range 2θ = 10–80°, sorted by position:
2θ = 20.38°, I = 16.9
2θ = 30.65°, I = 54.5
2θ = 31.73°, I = 27.5
2θ = 39.74°, I = 100.0
2θ = 39.87°, I = 35.3
2θ = 40.50°, I = 25.1
2θ = 41.44°, I = 24.7
2θ = 41.85°, I = 39.8
2θ = 46.22°, I = 44.3
2θ = 47.00°, I = 35.3
2θ = 70.37°, I = 14.7
2θ = 74.16°, I = 22.4

Crystal structure
abc: 4.5428 2.6562 6.0815
angles: 90.00 106.40 90.00
Fractional coordinates of all 10 atoms:
Zn 0.2328 0.2500 0.3331
Zn 0.7672 0.7500 0.6669
Co 0.3511 0.2500 0.7986
Co 0.6489 0.7500 0.2014
H 0.0121 0.2500 0.8258
H 0.2691 0.7500 0.6306
H 0.3363 0.7500 0.9712
H 0.6637 0.2500 0.0288
H 0.7309 0.2500 0.3694
H 0.9879 0.7500 0.1742